(1)
Calculated powder XRD pattern
Compound: VIO7
Radiation: CuKα
Structure: a GGA+U-relaxed structure
Lines closer than 0.1° are merged.

Principal peaks in the range 2θ = 15–90°, in order of falling intensity:
Position (°2θ)	I_rel
27.41	100
22.94	62
28.23	59
28.97	59
25.76	45
33.62	34

Crystal structure
abc: 10.5746 8.3583 6.9978
angles: 90.00 101.34 90.00
Element x y z (fractional)
V (0.2376, 0.1991, 0.4459)
V (0.2376, 0.3009, 0.9459)
V (0.7624, 0.6991, 0.0541)
V (0.7624, 0.8009, 0.5541)
I (0.4809, 0.5205, 0.2609)
I (0.4809, 0.9795, 0.7609)
I (0.5191, 0.0205, 0.2391)
I (0.5191, 0.4795, 0.7391)
O (0.1014, 0.0130, 0.8689)
O (0.1014, 0.4870, 0.3689)
O (0.1030, 0.1054, 0.4283)
O (0.1030, 0.3946, 0.9283)
O (0.1497, 0.6212, 0.3847)
O (0.1497, 0.8788, 0.8847)
O (0.2527, 0.2075, 0.1842)
O (0.2527, 0.2925, 0.6842)
O (0.3675, 0.0497, 0.5193)
O (0.3675, 0.4503, 0.0193)
O (0.3868, 0.0747, 0.9319)
O (0.3868, 0.4253, 0.4319)
O (0.4155, 0.7187, 0.2475)
O (0.4155, 0.7813, 0.7475)
O (0.5845, 0.2187, 0.2525)
O (0.5845, 0.2813, 0.7525)
O (0.6132, 0.5747, 0.5681)
O (0.6132, 0.9253, 0.0681)
O (0.6325, 0.5497, 0.9807)
O (0.6325, 0.9503, 0.4807)
O (0.7473, 0.7075, 0.3158)
O (0.7473, 0.7925, 0.8158)
O (0.8503, 0.1212, 0.1153)
O (0.8503, 0.3788, 0.6153)
O (0.8970, 0.6054, 0.0717)
O (0.8970, 0.8946, 0.5717)
O (0.8986, 0.5130, 0.6311)
O (0.8986, 0.9870, 0.1311)

---

(2)
Calculated powder XRD pattern
Compound: Li2Mn3SbO8
Radiation: CuKα
Structure: a GGA+U-relaxed structure
Lines closer than 0.1° are merged.

Principal peaks in the range 2θ = 15–90°, in order of falling intensity:
Position (°2θ)	I_rel
17.77	100
41.79	52
34.40	50
60.58	32
55.20	21
35.98	18

Crystal structure
abc: 8.6459 8.6459 8.6459
angles: 90.00 90.00 90.00
Element x y z (fractional)
Li (0.0075, 0.0075, 0.0075)
Li (0.2425, 0.2425, 0.2425)
Li (0.2575, 0.7575, 0.7425)
Li (0.4925, 0.9925, 0.5075)
Li (0.5075, 0.4925, 0.9925)
Li (0.7425, 0.2575, 0.7575)
Li (0.7575, 0.7425, 0.2575)
Li (0.9925, 0.5075, 0.4925)
Mn (0.1239, 0.1261, 0.6250)
Mn (0.1250, 0.3761, 0.8739)
Mn (0.1261, 0.6250, 0.1239)
Mn (0.3739, 0.3750, 0.6239)
Mn (0.3750, 0.6239, 0.3739)
Mn (0.3761, 0.8739, 0.1250)
Mn (0.6239, 0.3739, 0.3750)
Mn (0.6250, 0.1239, 0.1261)
Mn (0.6261, 0.8750, 0.8761)
Mn (0.8739, 0.1250, 0.3761)
Mn (0.8750, 0.8761, 0.6261)
Mn (0.8761, 0.6261, 0.8750)
Sb (0.1250, 0.8750, 0.3750)
Sb (0.3750, 0.1250, 0.8750)
Sb (0.6250, 0.6250, 0.6250)
Sb (0.8750, 0.3750, 0.1250)
O (0.1061, 0.1086, 0.3747)
O (0.1077, 0.6077, 0.8923)
O (0.1086, 0.3747, 0.1061)
O (0.1247, 0.6414, 0.3561)
O (0.1253, 0.8939, 0.6086)
O (0.1414, 0.1439, 0.8753)
O (0.1423, 0.3577, 0.6423)
O (0.1439, 0.8753, 0.1414)
O (0.3561, 0.1247, 0.6414)
O (0.3577, 0.6423, 0.1423)
O (0.3586, 0.8561, 0.3753)
O (0.3747, 0.1061, 0.1086)
O (0.3753, 0.3586, 0.8561)
O (0.3914, 0.6253, 0.6061)
O (0.3923, 0.3923, 0.3923)
O (0.3939, 0.8914, 0.8747)
O (0.6061, 0.3914, 0.6253)
O (0.6077, 0.8923, 0.1077)
O (0.6086, 0.1253, 0.8939)
O (0.6253, 0.6061, 0.3914)
O (0.6247, 0.8586, 0.6439)
O (0.6414, 0.3561, 0.1247)
O (0.6423, 0.1423, 0.3577)
O (0.6439, 0.6247, 0.8586)
O (0.8561, 0.3753, 0.3586)
O (0.8577, 0.8577, 0.8577)
O (0.8586, 0.6439, 0.6247)
O (0.8753, 0.1414, 0.1439)
O (0.8747, 0.3939, 0.8914)
O (0.8914, 0.8747, 0.3939)
O (0.8923, 0.1077, 0.6077)
O (0.8939, 0.6086, 0.1253)

---

(3)
Calculated powder XRD pattern
Compound: Ba2La2MgMnW2O12
Radiation: CuKα
Structure: a GGA+U-relaxed structure
Lines closer than 0.1° are merged.

Principal peaks in the range 2θ = 15–90°, in order of falling intensity:
Position (°2θ)	I_rel
30.38	100
27.37	53
42.27	32
28.66	28
53.97	19
21.02	15

Crystal structure
abc: 5.8975 5.8975 10.0333
angles: 104.00 104.00 59.79
Element x y z (fractional)
Ba (0.1265, 0.1265, 0.4031)
Ba (0.8735, 0.8735, 0.5969)
La (0.2763, 0.2763, 0.8578)
La (0.7237, 0.7237, 0.1422)
Mg (0.5000, 0.5000, 0.5000)
Mn (0.0000, 0.0000, 0.0000)
W (0.3863, 0.3863, 0.2232)
W (0.6137, 0.6137, 0.7768)
O (0.1362, 0.6162, 0.3700)
O (0.1514, 0.6333, 0.0820)
O (0.1894, 0.1894, 0.1658)
O (0.3667, 0.8486, 0.9180)
O (0.3838, 0.8638, 0.6300)
O (0.4134, 0.4134, 0.6871)
O (0.5866, 0.5866, 0.3129)
O (0.6162, 0.1362, 0.3700)
O (0.6333, 0.1514, 0.0820)
O (0.8106, 0.8106, 0.8342)
O (0.8486, 0.3667, 0.9180)
O (0.8638, 0.3838, 0.6300)

---

(4)
Calculated powder XRD pattern
Compound: Li3NiPCO7
Radiation: CuKα
Structure: a GGA+U-relaxed structure
Lines closer than 0.1° are merged.

Principal peaks in the range 2θ = 15–90°, in order of falling intensity:
Position (°2θ)	I_rel
35.37	100
16.81	94
20.25	64
26.27	44
19.26	35
24.69	35

Crystal structure
abc: 8.6068 6.3013 9.6881
angles: 90.00 95.90 90.00
Element x y z (fractional)
Li (0.1085, 0.2421, 0.3611)
Li (0.1085, 0.2579, 0.8611)
Li (0.2787, 0.5017, 0.6284)
Li (0.2787, 0.9983, 0.1284)
Li (0.3558, 0.7477, 0.3629)
Li (0.3558, 0.7523, 0.8629)
Li (0.6442, 0.2477, 0.1371)
Li (0.6442, 0.2523, 0.6371)
Li (0.7213, 0.0017, 0.8716)
Li (0.7213, 0.4983, 0.3716)
Li (0.8915, 0.7421, 0.1389)
Li (0.8915, 0.7579, 0.6389)
Ni (0.2698, 0.0036, 0.6223)
Ni (0.2698, 0.4964, 0.1223)
Ni (0.7302, 0.5036, 0.8777)
Ni (0.7302, 0.9964, 0.3777)
P (0.4071, 0.2391, 0.3885)
P (0.4071, 0.2609, 0.8885)
P (0.5929, 0.7391, 0.1115)
P (0.5929, 0.7609, 0.6115)
C (0.0409, 0.7409, 0.9009)
C (0.0409, 0.7591, 0.4009)
C (0.9591, 0.2409, 0.5991)
C (0.9591, 0.2591, 0.0991)
O (0.0647, 0.7407, 0.2743)
O (0.0647, 0.7593, 0.7743)
O (0.1030, 0.2263, 0.5633)
O (0.1030, 0.2737, 0.0633)
O (0.1555, 0.7421, 0.9991)
O (0.1555, 0.7579, 0.4991)
O (0.3076, 0.0509, 0.3299)
O (0.3076, 0.4491, 0.8299)
O (0.3163, 0.0603, 0.8316)
O (0.3163, 0.4397, 0.3316)
O (0.4138, 0.2378, 0.5505)
O (0.4138, 0.2622, 0.0505)
O (0.4239, 0.7406, 0.1519)
O (0.4239, 0.7594, 0.6519)
O (0.5761, 0.2406, 0.3481)
O (0.5761, 0.2594, 0.8481)
O (0.5862, 0.7378, 0.9495)
O (0.5862, 0.7622, 0.4495)
O (0.6837, 0.5603, 0.6684)
O (0.6837, 0.9397, 0.1684)
O (0.6924, 0.5509, 0.1701)
O (0.6924, 0.9491, 0.6701)
O (0.8445, 0.2421, 0.5009)
O (0.8445, 0.2579, 0.0009)
O (0.8970, 0.7263, 0.9367)
O (0.8970, 0.7737, 0.4367)
O (0.9353, 0.2407, 0.2257)
O (0.9353, 0.2593, 0.7257)

---

(5)
Calculated powder XRD pattern
Compound: Ba2LiV2Si4O14
Radiation: CuKα
Structure: a GGA+U-relaxed structure
Lines closer than 0.1° are merged.

Principal peaks in the range 2θ = 15–90°, in order of falling intensity:
Position (°2θ)	I_rel
26.95	100
26.46	91
26.28	78
30.00	76
29.85	71
32.34	69

Crystal structure
abc: 5.5382 7.2900 8.0894
angles: 90.00 108.68 90.00
Element x y z (fractional)
Ba (0.0000, 0.0000, 0.0000)
Ba (0.3983, 0.5000, 0.8036)
Li (0.8885, 0.0000, 0.4116)
V (0.0824, 0.5000, 0.1880)
V (0.3334, 0.0000, 0.6214)
Si (0.5841, 0.2279, 0.1898)
Si (0.5841, 0.7721, 0.1898)
Si (0.8090, 0.2761, 0.6132)
Si (0.8090, 0.7239, 0.6132)
O (0.0931, 0.1917, 0.6900)
O (0.0931, 0.8083, 0.6900)
O (0.1883, 0.5000, 0.4012)
O (0.1986, 0.0000, 0.3856)
O (0.3003, 0.3134, 0.1082)
O (0.3003, 0.6866, 0.1082)
O (0.5721, 0.0000, 0.1395)
O (0.6145, 0.1964, 0.7079)
O (0.6145, 0.8036, 0.7079)
O (0.7003, 0.2320, 0.4026)
O (0.7003, 0.7680, 0.4026)
O (0.7917, 0.3147, 0.1073)
O (0.7917, 0.6853, 0.1073)
O (0.8276, 0.5000, 0.6508)

---

(6)
Calculated powder XRD pattern
Compound: Sr2ErMoO6
Radiation: CuKα
Structure: a GGA+U-relaxed structure
Lines closer than 0.1° are merged.

Principal peaks in the range 2θ = 15–90°, in order of falling intensity:
Position (°2θ)	I_rel
30.38	100
30.56	66
43.81	35
53.96	34
30.80	32
54.40	22

Crystal structure
abc: 5.8070 5.8827 10.1165
angles: 90.00 124.56 90.00
Element x y z (fractional)
Sr (0.2438, 0.0368, 0.2481)
Sr (0.2438, 0.4632, 0.7481)
Sr (0.7562, 0.5367, 0.2519)
Sr (0.7562, 0.9632, 0.7519)
Er (0.5000, 0.0000, 0.0000)
Er (0.5000, 0.5000, 0.5000)
Mo (0.0000, 0.0000, 0.5000)
Mo (0.0000, 0.5000, 0.0000)
O (0.1557, 0.2181, 0.9590)
O (0.1557, 0.2819, 0.4590)
O (0.2364, 0.6917, 0.9646)
O (0.2364, 0.8083, 0.4646)
O (0.3131, 0.0223, 0.7388)
O (0.3131, 0.4777, 0.2388)
O (0.6869, 0.5223, 0.7612)
O (0.6869, 0.9777, 0.2612)
O (0.7636, 0.1917, 0.5354)
O (0.7636, 0.3083, 0.0354)
O (0.8443, 0.7181, 0.5410)
O (0.8443, 0.7819, 0.0410)